1.
# Li5CuP2O8
Simulated PXRD pattern, copper Kα. Input: a DFT-relaxed cell (PBE, the Materials Project).
Peak positions follow from Bragg's law for the DFT cell and can differ from measured ones.

Structure:
a = 4.9749 Å, b = 6.2170 Å, c = 5.3078 Å
α = 90.00°, β = 90.35°, γ = 90.00°
Atoms (fractional coordinates):
1 Li 0.0000 0.0000 0.0000
2 Li 0.9999 0.2539 0.5178
3 Li 0.9999 0.7461 0.5178
4 Li 0.5014 0.2490 0.1710
5 Li 0.5014 0.7510 0.1710
6 Cu 0.5029 0.5000 0.6723
7 P 0.0080 0.5000 0.0258
8 P 0.5091 0.0000 0.6702
9 O 0.3204 0.5000 0.0436
10 O 0.3986 0.2016 0.5264
11 O 0.3986 0.7984 0.5264
12 O 0.4082 0.0000 0.9475
13 O 0.8215 0.0000 0.6639
14 O 0.8996 0.2930 0.1575
15 O 0.8996 0.7070 0.1575
16 O 0.9228 0.5000 0.7418

Most intense lines, 2θ = 15–90°, most intense first:
- d = 2.682 Å, I = 100, (0 2 1)
- d = 5.308 Å, I = 99, (0 0 1)
- d = 3.641 Å, I = 88, (1 0 -1)
- d = 3.619 Å, I = 85, (1 0 1)
- d = 2.487 Å, I = 78, (2 0 0)
- d = 2.654 Å, I = 59, (0 0 2)
- d = 3.108 Å, I = 58, (0 2 0)
- d = 2.358 Å, I = 47, (1 2 1)

2.
# Ni2Mo3N
Simulated PXRD pattern, copper Kα. Input: a DFT-relaxed cell (PBE, the Materials Project).
Peak positions follow from Bragg's law for the DFT cell and can differ from measured ones.

Structure:
a = 6.8603 Å, b = 6.8603 Å, c = 6.8603 Å
α = 90.00°, β = 90.00°, γ = 90.00°
Atoms (fractional coordinates):
1 Ni 0.0441 0.0441 0.0441
2 Ni 0.2059 0.7941 0.2941
3 Ni 0.2941 0.2059 0.7941
4 Ni 0.4559 0.9559 0.5441
5 Ni 0.5441 0.4559 0.9559
6 Ni 0.7059 0.7059 0.7059
7 Ni 0.7941 0.2941 0.2059
8 Ni 0.9559 0.5441 0.4559
9 Mo 0.0779 0.8750 0.6721
10 Mo 0.1250 0.1721 0.4221
11 Mo 0.1721 0.4221 0.1250
12 Mo 0.3279 0.5779 0.6250
13 Mo 0.3750 0.8279 0.9221
14 Mo 0.4221 0.1250 0.1721
15 Mo 0.5779 0.6250 0.3279
16 Mo 0.6250 0.3279 0.5779
17 Mo 0.6721 0.0779 0.8750
18 Mo 0.8279 0.9221 0.3750
19 Mo 0.8750 0.6721 0.0779
20 Mo 0.9221 0.3750 0.8279
21 N 0.1250 0.3750 0.6250
22 N 0.3750 0.6250 0.1250
23 N 0.6250 0.1250 0.3750
24 N 0.8750 0.8750 0.8750

Most intense lines, 2θ = 15–90°, most intense first:
- d = 2.287 Å, I = 100, (2 2 1)
- d = 2.068 Å, I = 86, (3 1 1)
- d = 2.169 Å, I = 60, (3 1 0)
- d = 1.345 Å, I = 31, (5 1 0)
- d = 1.980 Å, I = 30, (2 2 2)
- d = 3.068 Å, I = 25, (2 1 0)
- d = 1.253 Å, I = 24, (5 2 1)
- d = 2.801 Å, I = 20, (2 1 1)

3.
# SnO2
Simulated PXRD pattern, copper Kα. Input: a DFT-relaxed cell (PBE, the Materials Project).
Peak positions follow from Bragg's law for the DFT cell and can differ from measured ones.

Structure:
a = 4.0572 Å, b = 4.0572 Å, c = 10.3560 Å
α = 90.00°, β = 90.00°, γ = 90.00°
Atoms (fractional coordinates):
1 Sn 0.0000 0.2500 0.3750
2 Sn 0.0000 0.7500 0.6250
3 Sn 0.5000 0.2500 0.1250
4 Sn 0.5000 0.7500 0.8750
5 O 0.0000 0.2500 0.1721
6 O 0.0000 0.2500 0.5779
7 O 0.0000 0.7500 0.4221
8 O 0.0000 0.7500 0.8279
9 O 0.5000 0.2500 0.3279
10 O 0.5000 0.2500 0.9221
11 O 0.5000 0.7500 0.0779
12 O 0.5000 0.7500 0.6721

Most intense lines, 2θ = 15–90°, most intense first:
- d = 3.778 Å, I = 100, (1 0 1)
- d = 2.509 Å, I = 35, (1 1 2)
- d = 2.029 Å, I = 25, (2 0 0)
- d = 1.787 Å, I = 25, (2 1 1)
- d = 2.629 Å, I = 21, (1 0 3)
- d = 2.589 Å, I = 19, (0 0 4)
- d = 1.845 Å, I = 18, (1 0 5)
- d = 1.597 Å, I = 18, (2 0 4)

4.
# ScH2
Simulated PXRD pattern, copper Kα. Input: a DFT-relaxed cell (PBE, the Materials Project).
Peak positions follow from Bragg's law for the DFT cell and can differ from measured ones.

Structure:
a = 4.7800 Å, b = 4.7800 Å, c = 4.7800 Å
α = 90.00°, β = 90.00°, γ = 90.00°
Atoms (fractional coordinates):
1 Sc 0.0000 0.0000 0.0000
2 Sc 0.0000 0.5000 0.5000
3 Sc 0.5000 0.0000 0.5000
4 Sc 0.5000 0.5000 0.0000
5 H 0.2500 0.2500 0.2500
6 H 0.2500 0.2500 0.7500
7 H 0.2500 0.7500 0.2500
8 H 0.2500 0.7500 0.7500
9 H 0.7500 0.2500 0.2500
10 H 0.7500 0.2500 0.7500
11 H 0.7500 0.7500 0.2500
12 H 0.7500 0.7500 0.7500

Most intense lines, 2θ = 15–90°, most intense first:
- d = 2.760 Å, I = 100, (1 1 1)
- d = 2.390 Å, I = 43, (2 0 0)
- d = 1.441 Å, I = 34, (3 1 1)
- d = 1.690 Å, I = 33, (2 2 0)
- d = 1.097 Å, I = 13, (3 3 1)
- d = 1.380 Å, I = 9, (2 2 2)
- d = 1.195 Å, I = 4, (4 0 0)

5.
# Er2Pt2O5
Simulated PXRD pattern, copper Kα. Input: a DFT-relaxed cell (PBE, the Materials Project).
Peak positions follow from Bragg's law for the DFT cell and can differ from measured ones.

Structure:
a = 3.7574 Å, b = 3.7574 Å, c = 9.0062 Å
α = 90.00°, β = 90.00°, γ = 90.00°
Atoms (fractional coordinates):
1 Er 0.0000 0.0000 0.2404
2 Er 0.0000 0.0000 0.7597
3 Pt 0.5000 0.5000 0.0000
4 Pt 0.5000 0.5000 0.5000
5 O 0.0000 0.0000 0.0000
6 O 0.0000 0.5000 0.3649
7 O 0.0000 0.5000 0.6351
8 O 0.5000 0.0000 0.3649
9 O 0.5000 0.0000 0.6351

Most intense lines, 2θ = 15–90°, most intense first:
- d = 2.885 Å, I = 100, (1 0 2)
- d = 2.657 Å, I = 37, (1 1 0)
- d = 1.574 Å, I = 34, (2 1 2)
- d = 1.718 Å, I = 27, (1 1 4)
- d = 1.879 Å, I = 19, (2 0 0)
- d = 1.442 Å, I = 12, (2 0 4)
- d = 2.252 Å, I = 11, (0 0 4)
- d = 1.119 Å, I = 11, (2 1 6)

6.
# Pu2InPd2
Simulated PXRD pattern, copper Kα. Input: a DFT-relaxed cell (PBE, the Materials Project).
Peak positions follow from Bragg's law for the DFT cell and can differ from measured ones.

Structure:
a = 7.7094 Å, b = 7.7094 Å, c = 3.6973 Å
α = 90.00°, β = 90.00°, γ = 90.00°
Atoms (fractional coordinates):
1 Pu 0.1700 0.3300 0.0000
2 Pu 0.3300 0.8300 0.0000
3 Pu 0.6700 0.1700 0.0000
4 Pu 0.8300 0.6700 0.0000
5 In 0.0000 0.0000 0.5000
6 In 0.5000 0.5000 0.5000
7 Pd 0.1320 0.6320 0.5000
8 Pd 0.3680 0.1320 0.5000
9 Pd 0.6320 0.8680 0.5000
10 Pd 0.8680 0.3680 0.5000

Most intense lines, 2θ = 15–90°, most intense first:
- d = 2.522 Å, I = 100, (2 1 1)
- d = 2.438 Å, I = 37, (3 1 0)
- d = 2.668 Å, I = 28, (2 0 1)
- d = 1.668 Å, I = 20, (4 1 1)
- d = 1.335 Å, I = 16, (5 2 1)
- d = 1.473 Å, I = 16, (3 1 2)
- d = 3.448 Å, I = 15, (2 1 0)
- d = 1.630 Å, I = 15, (3 3 1)

7.
# Dy
Simulated PXRD pattern, copper Kα. Input: a DFT-relaxed cell (PBE, the Materials Project).
Peak positions follow from Bragg's law for the DFT cell and can differ from measured ones.

Structure:
a = 3.5723 Å, b = 3.5723 Å, c = 25.7123 Å
α = 90.00°, β = 90.00°, γ = 120.00°
Atoms (fractional coordinates):
1 Dy 0.0000 0.0000 0.0000
2 Dy 0.0000 0.0000 0.2221
3 Dy 0.0000 0.0000 0.7779
4 Dy 0.3333 0.6667 0.4446
5 Dy 0.3333 0.6667 0.6667
6 Dy 0.3333 0.6667 0.8887
7 Dy 0.6667 0.3333 0.1113
8 Dy 0.6667 0.3333 0.3333
9 Dy 0.6667 0.3333 0.5554

Most intense lines, 2θ = 15–90°, most intense first:
- d = 2.788 Å, I = 100, (1 0 4)
- d = 2.651 Å, I = 88, (0 1 5)
- d = 2.857 Å, I = 50, (0 0 9)
- d = 1.515 Å, I = 45, (1 1 9)
- d = 1.786 Å, I = 38, (1 1 0)
- d = 3.072 Å, I = 37, (1 0 1)
- d = 1.666 Å, I = 22, (1 0 13)
- d = 1.579 Å, I = 19, (0 1 14)

8.
# ZrP2O9
Simulated PXRD pattern, copper Kα. Input: a DFT-relaxed cell (PBE, the Materials Project).
Peak positions follow from Bragg's law for the DFT cell and can differ from measured ones.

Structure:
a = 9.1524 Å, b = 5.4058 Å, c = 15.8202 Å
α = 90.00°, β = 110.07°, γ = 90.00°
Atoms (fractional coordinates):
1 Zr 0.2353 0.2335 0.4727
2 Zr 0.2353 0.2665 0.9727
3 Zr 0.7647 0.7335 0.0273
4 Zr 0.7647 0.7665 0.5273
5 P 0.0103 0.2375 0.1199
6 P 0.0103 0.2625 0.6199
7 P 0.4515 0.7305 0.6041
8 P 0.4515 0.7695 0.1041
9 P 0.5485 0.2305 0.8959
10 P 0.5485 0.2695 0.3959
11 P 0.9897 0.7375 0.3801
12 P 0.9897 0.7625 0.8801
13 O 0.0661 0.5053 0.8894
14 O 0.0661 0.9947 0.3894
15 O 0.0998 0.2132 0.0540
16 O 0.0998 0.2868 0.5540
17 O 0.1164 0.5371 0.3993
18 O 0.1164 0.9629 0.8993
19 O 0.1300 0.2053 0.2171
20 O 0.1300 0.2947 0.7171
21 O 0.2644 0.6381 0.7410
22 O 0.2644 0.8619 0.2410
23 O 0.3350 0.5670 0.0560
24 O 0.3350 0.9330 0.5560
25 O 0.3873 0.2053 0.4009
26 O 0.3873 0.2947 0.9009
27 O 0.3970 0.0230 0.0610
28 O 0.3970 0.4770 0.5610
29 O 0.4673 0.7144 0.7060
30 O 0.4673 0.7856 0.2060
31 O 0.5327 0.2144 0.7940
32 O 0.5327 0.2856 0.2940
33 O 0.6030 0.5230 0.4390
34 O 0.6030 0.9770 0.9390
35 O 0.6127 0.7053 0.0991
36 O 0.6127 0.7947 0.5991
37 O 0.6650 0.0670 0.4440
38 O 0.6650 0.4330 0.9440
39 O 0.7356 0.1381 0.7590
40 O 0.7356 0.3619 0.2590
41 O 0.8700 0.7053 0.2829
42 O 0.8700 0.7947 0.7829
43 O 0.8836 0.0371 0.1007
44 O 0.8836 0.4629 0.6007
45 O 0.9002 0.7132 0.4460
46 O 0.9002 0.7868 0.9460
47 O 0.9339 0.0053 0.6106
48 O 0.9339 0.4947 0.1106

Most intense lines, 2θ = 15–90°, most intense first:
- d = 3.613 Å, I = 100, (1 1 2)
- d = 3.458 Å, I = 45, (2 0 -4)
- d = 4.576 Å, I = 42, (1 1 0)
- d = 4.439 Å, I = 26, (2 0 -2)
- d = 2.655 Å, I = 26, (3 1 -2)
- d = 2.703 Å, I = 14, (0 2 0)
- d = 3.364 Å, I = 9, (2 1 0)
- d = 2.082 Å, I = 9, (2 2 2)